Entry 1:
# Zr3Fe2As4Pd2
Simulated powder diffractogram, Cu Kα. Input: a crystal structure in OQMD, relaxed with GGA-PBE.
Intensities are scaled so that the largest is 100.

```
Zr3Fe2As4Pd2
1.0
6.578 0.000 0.000
0.000 3.894 0.000
-0.051 0.000 7.511
Zr Fe As Pd
3 2 4 2
direct
0.000 0.000 0.000
0.070 0.500 0.629
0.558 0.500 0.486
0.145 0.500 0.266
0.908 0.000 0.363
0.279 0.000 0.397
0.294 0.500 0.970
0.779 0.000 0.668
0.784 0.500 0.195
0.373 0.000 0.751
0.676 0.500 0.875
```

Most intense lines, 2θ = 15–90°, in order of falling intensity:
2θ = 37.7°, rel. 100; 2θ = 36.0°, rel. 99; 2θ = 42.9°, rel. 78; 2θ = 46.7°, rel. 71; 2θ = 35.7°, rel. 65; 2θ = 37.8°, rel. 45; 2θ = 38.4°, rel. 43; 2θ = 45.3°, rel. 33; 2θ = 45.1°, rel. 27; 2θ = 43.1°, rel. 24

---

Entry 2:
# LiFe2Sb
Simulated powder diffractogram, Cu Kα. Input: a crystal structure in OQMD, relaxed with GGA-PBE.
Intensities are scaled so that the largest is 100.

```
LiFe2Sb
1.0
5.964 0.000 0.000
0.000 5.964 0.000
0.000 0.000 5.964
Li Fe Sb
4 8 4
direct
0.000 0.000 0.000
0.000 0.000 0.500
0.000 0.500 0.000
0.500 0.000 0.000
0.248 0.248 0.248
0.248 0.248 0.752
0.248 0.752 0.248
0.248 0.752 0.752
0.752 0.248 0.248
0.752 0.248 0.752
0.752 0.752 0.248
0.752 0.752 0.752
0.000 0.500 0.500
0.500 0.000 0.500
0.500 0.500 0.000
0.500 0.500 0.500
```

Most intense lines, 2θ = 15–90°, in order of falling intensity:
2θ = 42.9°, rel. 100; 2θ = 78.6°, rel. 31; 2θ = 33.6°, rel. 23; 2θ = 62.3°, rel. 16; 2θ = 25.9°, rel. 15; 2θ = 45.6°, rel. 12; 2θ = 64.4°, rel. 7; 2θ = 50.8°, rel. 7; 2θ = 72.7°, rel. 5; 2θ = 55.6°, rel. 5

---

Entry 3:
# Ga2HgTe3Se
Simulated powder diffractogram, Cu Kα. Input: a crystal structure in OQMD, relaxed with GGA-PBE.
Intensities are scaled so that the largest is 100.

```
Ga2HgTe3Se
1.0
6.141 0.000 0.000
-0.138 6.195 0.000
-2.893 -3.138 5.877
Ga Hg Te Se
2 1 3 1
direct
0.000 0.000 0.000
0.237 0.758 0.516
0.490 0.490 0.007
0.382 0.918 0.285
0.626 0.611 0.721
0.880 0.355 0.285
0.093 0.096 0.738
```

Most intense lines, 2θ = 15–90°, in order of falling intensity:
2θ = 25.5°, rel. 100; 2θ = 25.0°, rel. 58; 2θ = 25.7°, rel. 51; 2θ = 42.2°, rel. 50; 2θ = 40.9°, rel. 29; 2θ = 41.9°, rel. 25; 2θ = 42.5°, rel. 24; 2θ = 49.4°, rel. 23; 2θ = 43.0°, rel. 23; 2θ = 16.2°, rel. 20

---

Entry 4:
# SrLaMg4Ag2
Simulated powder diffractogram, Cu Kα. Input: a crystal structure in OQMD, relaxed with GGA-PBE.
Intensities are scaled so that the largest is 100.

```
SrLaMg4Ag2
1.0
5.793 0.000 0.000
0.000 2.851 9.080
0.000 -2.851 9.080
Sr La Mg Ag
1 1 4 2
direct
0.000 0.000 0.000
0.000 0.236 0.236
0.251 0.404 0.404
0.252 0.819 0.819
0.748 0.819 0.819
0.749 0.404 0.404
0.000 0.539 0.539
0.000 0.686 0.686
```

Most intense lines, 2θ = 15–90°, in order of falling intensity:
2θ = 15.3°, rel. 100; 2θ = 31.4°, rel. 27; 2θ = 35.1°, rel. 26; 2θ = 24.9°, rel. 25; 2θ = 38.1°, rel. 19; 2θ = 26.4°, rel. 18; 2θ = 41.3°, rel. 18; 2θ = 18.2°, rel. 17; 2θ = 19.6°, rel. 15; 2θ = 40.5°, rel. 14

---

Entry 5:
# YErAsO
Simulated powder diffractogram, Cu Kα. Input: a crystal structure in OQMD, relaxed with GGA-PBE.
Intensities are scaled so that the largest is 100.

```
YErAsO
1.0
4.115 0.000 0.000
0.000 7.655 0.000
0.000 0.000 5.800
Y Er As O
2 2 2 2
direct
0.000 0.117 0.000
0.000 0.883 0.500
0.500 0.287 0.437
0.500 0.713 0.937
0.500 0.348 0.928
0.500 0.652 0.428
0.000 0.173 0.383
0.000 0.827 0.883
```

Most intense lines, 2θ = 15–90°, in order of falling intensity:
2θ = 30.8°, rel. 100; 2θ = 29.1°, rel. 91; 2θ = 24.6°, rel. 87; 2θ = 23.2°, rel. 60; 2θ = 31.9°, rel. 53; 2θ = 41.6°, rel. 52; 2θ = 52.7°, rel. 52; 2θ = 38.5°, rel. 50; 2θ = 44.0°, rel. 44; 2θ = 45.0°, rel. 41

---

Entry 6:
# GdY2Sn5Pb2
Simulated powder diffractogram, Cu Kα. Input: a crystal structure in OQMD, relaxed with GGA-PBE.
Intensities are scaled so that the largest is 100.

```
GdY2Sn5Pb2
1.0
2.233 -13.333 0.000
2.233 13.333 0.000
0.000 0.000 4.483
Gd Y Sn Pb
1 2 5 2
direct
0.000 0.000 0.000
0.312 0.688 0.500
0.688 0.312 0.500
0.096 0.904 0.500
0.404 0.596 0.000
0.500 0.500 0.500
0.596 0.404 0.000
0.904 0.096 0.500
0.209 0.791 0.000
0.791 0.209 0.000
```

Most intense lines, 2θ = 15–90°, in order of falling intensity:
2θ = 32.9°, rel. 100; 2θ = 33.6°, rel. 20; 2θ = 40.2°, rel. 15; 2θ = 40.4°, rel. 15; 2θ = 68.5°, rel. 12; 2θ = 59.7°, rel. 12; 2θ = 68.7°, rel. 12; 2θ = 53.4°, rel. 11; 2θ = 53.5°, rel. 11; 2θ = 69.0°, rel. 11

---

Entry 7:
# NaDyGa4Pt2
Simulated powder diffractogram, Cu Kα. Input: a crystal structure in OQMD, relaxed with GGA-PBE.
Intensities are scaled so that the largest is 100.

```
NaDyGa4Pt2
1.0
6.833 0.000 0.000
0.000 2.155 5.035
0.000 -2.155 5.035
Na Dy Ga Pt
1 1 4 2
direct
0.000 0.000 0.000
0.500 0.843 0.843
0.194 0.285 0.285
0.296 0.556 0.556
0.704 0.556 0.556
0.806 0.285 0.285
0.000 0.718 0.718
0.500 0.128 0.128
```

Most intense lines, 2θ = 15–90°, in order of falling intensity:
2θ = 36.4°, rel. 100; 2θ = 34.7°, rel. 87; 2θ = 26.0°, rel. 85; 2θ = 43.2°, rel. 60; 2θ = 38.1°, rel. 53; 2θ = 41.9°, rel. 52; 2θ = 17.6°, rel. 51; 2θ = 46.0°, rel. 49; 2θ = 57.9°, rel. 32; 2θ = 50.0°, rel. 21

---

Entry 8:
# TbTlNiTe3
Simulated powder diffractogram, Cu Kα. Input: a crystal structure in OQMD, relaxed with GGA-PBE.
Intensities are scaled so that the largest is 100.

```
TbTlNiTe3
1.0
16.190 0.000 0.000
0.000 4.186 0.000
0.000 0.000 11.235
Tb Tl Ni Te
4 4 4 12
direct
0.023 0.250 0.162
0.477 0.750 0.662
0.523 0.250 0.338
0.977 0.750 0.838
0.238 0.250 0.484
0.262 0.750 0.984
0.738 0.250 0.016
0.762 0.750 0.516
0.011 0.750 0.393
0.489 0.250 0.893
0.511 0.750 0.107
0.989 0.250 0.607
0.076 0.750 0.596
0.106 0.250 0.919
0.142 0.750 0.268
0.358 0.250 0.768
0.394 0.750 0.419
0.424 0.250 0.096
0.576 0.750 0.904
0.606 0.250 0.581
0.642 0.750 0.232
0.858 0.250 0.732
0.894 0.750 0.081
0.924 0.250 0.404
```

Most intense lines, 2θ = 15–90°, in order of falling intensity:
2θ = 28.1°, rel. 100; 2θ = 26.2°, rel. 30; 2θ = 33.8°, rel. 28; 2θ = 32.6°, rel. 25; 2θ = 43.2°, rel. 25; 2θ = 38.6°, rel. 24; 2θ = 19.2°, rel. 20; 2θ = 31.8°, rel. 20; 2θ = 39.0°, rel. 19; 2θ = 37.0°, rel. 16

---

What did the fourth record say?
# SrLaMg4Ag2
Simulated powder diffractogram, Cu Kα. Input: a crystal structure in OQMD, relaxed with GGA-PBE.
Intensities are scaled so that the largest is 100.

```
SrLaMg4Ag2
1.0
5.793 0.000 0.000
0.000 2.851 9.080
0.000 -2.851 9.080
Sr La Mg Ag
1 1 4 2
direct
0.000 0.000 0.000
0.000 0.236 0.236
0.251 0.404 0.404
0.252 0.819 0.819
0.748 0.819 0.819
0.749 0.404 0.404
0.000 0.539 0.539
0.000 0.686 0.686
```

Most intense lines, 2θ = 15–90°, in order of falling intensity:
2θ = 15.3°, rel. 100; 2θ = 31.4°, rel. 27; 2θ = 35.1°, rel. 26; 2θ = 24.9°, rel. 25; 2θ = 38.1°, rel. 19; 2θ = 26.4°, rel. 18; 2θ = 41.3°, rel. 18; 2θ = 18.2°, rel. 17; 2θ = 19.6°, rel. 15; 2θ = 40.5°, rel. 14

---

Please write out number 3 again, unchanged.
# Ga2HgTe3Se
Simulated powder diffractogram, Cu Kα. Input: a crystal structure in OQMD, relaxed with GGA-PBE.
Intensities are scaled so that the largest is 100.

```
Ga2HgTe3Se
1.0
6.141 0.000 0.000
-0.138 6.195 0.000
-2.893 -3.138 5.877
Ga Hg Te Se
2 1 3 1
direct
0.000 0.000 0.000
0.237 0.758 0.516
0.490 0.490 0.007
0.382 0.918 0.285
0.626 0.611 0.721
0.880 0.355 0.285
0.093 0.096 0.738
```

Most intense lines, 2θ = 15–90°, in order of falling intensity:
2θ = 25.5°, rel. 100; 2θ = 25.0°, rel. 58; 2θ = 25.7°, rel. 51; 2θ = 42.2°, rel. 50; 2θ = 40.9°, rel. 29; 2θ = 41.9°, rel. 25; 2θ = 42.5°, rel. 24; 2θ = 49.4°, rel. 23; 2θ = 43.0°, rel. 23; 2θ = 16.2°, rel. 20

---

Which formula does entry 5 have? YErAsO